Structure and computed PXRD pattern of UCrS3 (a DFT-relaxed cell (GGA-PBE, Alexandria); a wavelength of 1.5418 Å).
No peak broadening, texture or thermal motion is included.

Crystal structure
a = 7.0507 Å, b = 8.8496 Å, c = 6.1095 Å
α = 90.00°, β = 90.00°, γ = 90.00°
Fractional positions:
U (0.1188, 0.2500, 0.0568)
U (0.3812, 0.7500, 0.5568)
U (0.6188, 0.2500, 0.4432)
U (0.8812, 0.7500, 0.9432)
Cr (0.0000, 0.0000, 0.5000)
Cr (0.0000, 0.5000, 0.5000)
Cr (0.5000, 0.0000, 0.0000)
Cr (0.5000, 0.5000, 0.0000)
S (0.0416, 0.7500, 0.3545)
S (0.1796, 0.5578, 0.8343)
S (0.1796, 0.9422, 0.8343)
S (0.3204, 0.0578, 0.3343)
S (0.3204, 0.4422, 0.3343)
S (0.4584, 0.2500, 0.8545)
S (0.5416, 0.7500, 0.1455)
S (0.6796, 0.5578, 0.6657)
S (0.6796, 0.9422, 0.6657)
S (0.8204, 0.0578, 0.1657)
S (0.8204, 0.4422, 0.1657)
S (0.9584, 0.2500, 0.6455)

The 8 most intense peaks (5 to 70 degrees two-theta), in order of falling intensity:
- 2θ 21.71, d = 4.094 Å, I = 100
- 2θ 27.93, d = 3.195 Å, I = 92
- 2θ 27.23, d = 3.275 Å, I = 55
- 2θ 36.13, d = 2.486 Å, I = 46
- 2θ 33.54, d = 2.672 Å, I = 40
- 2θ 35.72, d = 2.513 Å, I = 37
- 2θ 40.38, d = 2.234 Å, I = 37
- 2θ 39.85, d = 2.262 Å, I = 37


Structure and computed PXRD pattern of V6CrS8 (a DFT-relaxed cell (GGA-PBE, Alexandria); a wavelength of 1.5418 Å).
No peak broadening, texture or thermal motion is included.

Crystal structure
a = 6.2997 Å, b = 6.2997 Å, c = 6.2997 Å
α = 91.41°, β = 91.41°, γ = 91.41°
Fractional positions:
V (0.2066, 0.4059, 0.5495)
V (0.4059, 0.5495, 0.2066)
V (0.4505, 0.7934, 0.5941)
V (0.5495, 0.2066, 0.4059)
V (0.5941, 0.4505, 0.7934)
V (0.7934, 0.5941, 0.4505)
Cr (0.0000, 0.0000, 0.0000)
S (0.1345, 0.7326, 0.3916)
S (0.2229, 0.2229, 0.2229)
S (0.2674, 0.6084, 0.8655)
S (0.3916, 0.1345, 0.7326)
S (0.6084, 0.8655, 0.2674)
S (0.7326, 0.3916, 0.1345)
S (0.7771, 0.7771, 0.7771)
S (0.8655, 0.2674, 0.6084)

The 8 most intense peaks (5 to 70 degrees two-theta), in order of falling intensity:
- 2θ 14.07, d = 6.296 Å, I = 100
- 2θ 47.81, d = 1.903 Å, I = 83
- 2θ 42.60, d = 2.122 Å, I = 63
- 2θ 31.45, d = 2.844 Å, I = 57
- 2θ 34.76, d = 2.581 Å, I = 45
- 2θ 45.93, d = 1.976 Å, I = 39
- 2θ 44.11, d = 2.053 Å, I = 39
- 2θ 24.28, d = 3.666 Å, I = 35